Calculated X-ray diffraction stick pattern of Ba2AgBrO2 for Cu Kα, 1.54184 Å, from a structure optimized by DFT (GGA-PBE).

Principal peaks in the range 2θ from 10° to 90°, by angle:
d = 3.383 Å, intensity 100.0
d = 2.706 Å, intensity 46.3
d = 2.602 Å, intensity 16.0
d = 2.168 Å, intensity 33.6
d = 1.825 Å, intensity 16.8
d = 1.732 Å, intensity 14.2
d = 1.692 Å, intensity 11.3
d = 1.665 Å, intensity 24.0
d = 1.396 Å, intensity 13.8
d = 1.334 Å, intensity 10.4

Structure:
```
data_Ba2AgBrO2
_space_group_name_H-M_alt 'P 1'
_space_group_IT_number 1
_cell_length_a 10.7054
_cell_length_b 10.7054
_cell_length_c 10.7054
_cell_angle_alpha 23.36
_cell_angle_beta 23.36
_cell_angle_gamma 23.36
loop_
_space_group_symop_operation_xyz
'x,y,z'
loop_
_atom_site_label
_atom_site_type_symbol
_atom_site_fract_x
_atom_site_fract_y
_atom_site_fract_z
_atom_site_occupancy
Ba1 Ba 0.2449 0.2449 0.2449 1
Ba2 Ba 0.7551 0.7551 0.7551 1
Ag1 Ag 0.0000 0.0000 0.0000 1
Br1 Br 0.5000 0.5000 0.5000 1
O1 O 0.0659 0.0659 0.0659 1
O2 O 0.9341 0.9341 0.9341 1
```

---

Calculated X-ray diffraction stick pattern of AcAuS6 for Cu Kα, 1.54184 Å, from a structure optimized by DFT (GGA-PBE).

Principal peaks in the range 2θ from 10° to 90°, by angle:
d = 4.826 Å, intensity 96.4
d = 4.304 Å, intensity 53.0
d = 4.000 Å, intensity 65.1
d = 3.946 Å, intensity 100.0
d = 3.583 Å, intensity 60.1
d = 2.985 Å, intensity 34.6
d = 2.839 Å, intensity 35.0
d = 2.779 Å, intensity 36.3
d = 2.582 Å, intensity 73.1
d = 2.294 Å, intensity 33.9

Structure:
```
data_AcAuS6
_space_group_name_H-M_alt 'P 1'
_space_group_IT_number 1
_cell_length_a 5.4692
_cell_length_b 5.6998
_cell_length_c 7.2012
_cell_angle_alpha 93.74
_cell_angle_beta 92.04
_cell_angle_gamma 117.76
loop_
_space_group_symop_operation_xyz
'x,y,z'
loop_
_atom_site_label
_atom_site_type_symbol
_atom_site_fract_x
_atom_site_fract_y
_atom_site_fract_z
_atom_site_occupancy
Ac1 Ac 0.0000 0.0000 0.0000 1
Au1 Au 0.0000 0.5000 0.5000 1
S1 S 0.1197 0.9377 0.4211 1
S2 S 0.3204 0.4885 0.2839 1
S3 S 0.3747 0.7360 0.0723 1
S4 S 0.6253 0.2640 0.9277 1
S5 S 0.6796 0.5115 0.7161 1
S6 S 0.8803 0.0623 0.5789 1
```

---

Calculated X-ray diffraction stick pattern of Mg9P2H14 for Cu Kα, 1.54184 Å, from a structure optimized by DFT (GGA-PBE).

Principal peaks in the range 2θ from 10° to 90°, by angle:
d = 4.353 Å, intensity 26.2
d = 3.362 Å, intensity 45.3
d = 2.861 Å, intensity 40.0
d = 2.808 Å, intensity 71.5
d = 2.777 Å, intensity 40.5
d = 2.632 Å, intensity 53.5
d = 2.607 Å, intensity 100.0
d = 2.504 Å, intensity 46.3
d = 2.349 Å, intensity 29.3
d = 1.776 Å, intensity 26.6

Structure:
```
data_Mg9P2H14
_space_group_name_H-M_alt 'P 1'
_space_group_IT_number 1
_cell_length_a 5.8544
_cell_length_b 6.1233
_cell_length_c 8.4848
_cell_angle_alpha 87.49
_cell_angle_beta 83.10
_cell_angle_gamma 73.26
loop_
_space_group_symop_operation_xyz
'x,y,z'
loop_
_atom_site_label
_atom_site_type_symbol
_atom_site_fract_x
_atom_site_fract_y
_atom_site_fract_z
_atom_site_occupancy
Mg1 Mg 0.0000 0.0000 0.0000 1
Mg2 Mg 0.0243 0.3607 0.3370 1
Mg3 Mg 0.2106 0.7876 0.3089 1
Mg4 Mg 0.2933 0.3949 0.9648 1
Mg5 Mg 0.3296 0.0142 0.6513 1
Mg6 Mg 0.6704 0.9858 0.3487 1
Mg7 Mg 0.7067 0.6051 0.0352 1
Mg8 Mg 0.7894 0.2124 0.6911 1
Mg9 Mg 0.9757 0.6393 0.6630 1
P1 P 0.4599 0.3853 0.2418 1
P2 P 0.5401 0.6147 0.7582 1
H1 H 0.0178 0.6562 0.9027 1
H2 H 0.0356 0.9322 0.6688 1
H3 H 0.0633 0.3095 0.5695 1
H4 H 0.2096 0.1737 0.8470 1
H5 H 0.2826 0.8856 0.0977 1
H6 H 0.3575 0.5566 0.6552 1
H7 H 0.3958 0.8972 0.4314 1
H8 H 0.6042 0.1028 0.5686 1
H9 H 0.6425 0.4434 0.3448 1
H10 H 0.7174 0.1144 0.9023 1
H11 H 0.7904 0.8263 0.1530 1
H12 H 0.9367 0.6905 0.4305 1
H13 H 0.9644 0.0678 0.3312 1
H14 H 0.9822 0.3438 0.0973 1
```

---

Calculated X-ray diffraction stick pattern of Al5Ag7 for Cu Kα, 1.54184 Å, from a structure optimized by DFT (GGA-PBE).

Principal peaks in the range 2θ from 10° to 90°, by angle:
d = 8.067 Å, intensity 65.5
d = 2.774 Å, intensity 21.2
d = 2.683 Å, intensity 13.8
d = 2.382 Å, intensity 100.0
d = 2.347 Å, intensity 47.7
d = 2.333 Å, intensity 46.5
d = 2.061 Å, intensity 65.7
d = 2.012 Å, intensity 27.0
d = 1.443 Å, intensity 17.5
d = 1.437 Å, intensity 26.5

Structure:
```
data_Al5Ag7
_space_group_name_H-M_alt 'P 1'
_space_group_IT_number 1
_cell_length_a 8.5648
_cell_length_b 2.9545
_cell_length_c 8.6290
_cell_angle_alpha 90.00
_cell_angle_beta 109.98
_cell_angle_gamma 90.00
loop_
_space_group_symop_operation_xyz
'x,y,z'
loop_
_atom_site_label
_atom_site_type_symbol
_atom_site_fract_x
_atom_site_fract_y
_atom_site_fract_z
_atom_site_occupancy
Al1 Al 0.0000 0.0000 0.0000 1
Al2 Al 0.0022 0.0000 0.6791 1
Al3 Al 0.2578 0.5000 0.9208 1
Al4 Al 0.7422 0.5000 0.0792 1
Al5 Al 0.9978 0.0000 0.3209 1
Ag1 Ag 0.2248 0.5000 0.5770 1
Ag2 Ag 0.2379 0.5000 0.2388 1
Ag3 Ag 0.4941 0.0000 0.8327 1
Ag4 Ag 0.5000 0.0000 0.5000 1
Ag5 Ag 0.5059 0.0000 0.1673 1
Ag6 Ag 0.7621 0.5000 0.7612 1
Ag7 Ag 0.7752 0.5000 0.4230 1
```

---

Calculated X-ray diffraction stick pattern of NaZn3Cu for Cu Kα, 1.54184 Å, from a structure optimized by DFT (GGA-PBE).

Principal peaks in the range 2θ from 10° to 90°, by angle:
d = 5.295 Å, intensity 77.0
d = 2.479 Å, intensity 20.7
d = 2.335 Å, intensity 100.0
d = 2.287 Å, intensity 28.1
d = 2.199 Å, intensity 25.1
d = 2.093 Å, intensity 19.8
d = 1.979 Å, intensity 33.4
d = 1.974 Å, intensity 18.5
d = 1.928 Å, intensity 27.2
d = 1.901 Å, intensity 33.0

Structure:
```
data_NaZn3Cu
_space_group_name_H-M_alt 'P 1'
_space_group_IT_number 1
_cell_length_a 6.6203
_cell_length_b 6.6203
_cell_length_c 4.9587
_cell_angle_alpha 90.00
_cell_angle_beta 90.00
_cell_angle_gamma 126.89
loop_
_space_group_symop_operation_xyz
'x,y,z'
loop_
_atom_site_label
_atom_site_type_symbol
_atom_site_fract_x
_atom_site_fract_y
_atom_site_fract_z
_atom_site_occupancy
Na1 Na 0.0924 0.9076 0.7500 1
Na2 Na 0.9076 0.0924 0.2500 1
Zn1 Zn 0.1193 0.4257 0.7500 1
Zn2 Zn 0.3156 0.6844 0.2500 1
Zn3 Zn 0.4257 0.1193 0.2500 1
Zn4 Zn 0.5743 0.8807 0.7500 1
Zn5 Zn 0.6844 0.3156 0.7500 1
Zn6 Zn 0.8807 0.5743 0.2500 1
Cu1 Cu 0.5000 0.5000 0.0000 1
Cu2 Cu 0.5000 0.5000 0.5000 1
```

---

Calculated X-ray diffraction stick pattern of BaAsH for Cu Kα, 1.54184 Å, from a structure optimized by DFT (GGA-PBE).

Principal peaks in the range 2θ from 10° to 90°, by angle:
d = 4.005 Å, intensity 35.3
d = 3.740 Å, intensity 50.8
d = 3.354 Å, intensity 100.0
d = 2.497 Å, intensity 69.2
d = 2.371 Å, intensity 38.5
d = 2.207 Å, intensity 30.4
d = 2.003 Å, intensity 35.9
d = 1.615 Å, intensity 22.7
d = 1.500 Å, intensity 18.0
d = 1.392 Å, intensity 22.0

Structure:
```
data_BaAsH
_space_group_name_H-M_alt 'P 1'
_space_group_IT_number 1
_cell_length_a 5.0231
_cell_length_b 5.0231
_cell_length_c 5.0231
_cell_angle_alpha 123.66
_cell_angle_beta 123.66
_cell_angle_gamma 83.77
loop_
_space_group_symop_operation_xyz
'x,y,z'
loop_
_atom_site_label
_atom_site_type_symbol
_atom_site_fract_x
_atom_site_fract_y
_atom_site_fract_z
_atom_site_occupancy
Ba1 Ba 0.0000 0.0000 0.0000 1
As1 As 0.4213 0.4213 0.0000 1
H1 H 0.6286 0.6286 0.0000 1
```